[1]
Structure and calculated X-ray powder pattern of Na2CaSiSe4 (a structure optimized by DFT (PBE); Cu Kα X-rays).

Most intense lines, 2θ = 10–90°, by intensity:
d [Å]	2theta	intensity
2.864	31.23	1000
2.040	44.41	508
2.907	30.76	400
6.810	13.00	317
3.247	27.47	251
3.405	26.17	231
1.957	46.39	174
2.617	34.26	171
2.100	43.07	156
1.627	56.55	148

Crystal structure
Lattice parameters (Å, degrees): 8.171 8.171 8.171 122.75 118.13 89.28
Sites, in units of the cell vectors:
1 Na 0.000 0.000 0.000
2 Na 0.500 0.000 0.000
3 Na 0.500 0.000 0.500
4 Na 0.500 0.500 0.500
5 Ca 0.000 0.500 0.500
6 Ca 0.500 0.500 0.000
7 Si 0.000 0.000 0.500
8 Si 0.000 0.500 0.000
9 Se 0.211 0.209 0.498
10 Se 0.211 0.713 0.002
11 Se 0.212 0.249 0.962
12 Se 0.213 0.751 0.462
13 Se 0.787 0.249 0.538
14 Se 0.788 0.751 0.038
15 Se 0.789 0.287 0.998
16 Se 0.789 0.791 0.502

***

[2]
Structure and calculated X-ray powder pattern of KIn2Ge (a structure optimized by DFT (PBE); Cu Kα X-rays).

Most intense lines, 2θ = 10–90°, by intensity:
d [Å]	2theta	intensity
3.202	27.86	1000
2.849	31.40	862
2.373	37.92	795
2.444	36.77	708
5.350	16.57	386
2.330	38.64	379
1.824	50.01	307
4.338	20.47	295
1.678	54.71	263
1.663	55.25	260

Crystal structure
Lattice parameters (Å, degrees): 4.746 4.746 10.700 90.00 90.00 90.00
Sites, in units of the cell vectors:
1 K 0.250 0.250 0.245
2 K 0.750 0.750 0.755
3 In 0.250 0.250 0.933
4 In 0.250 0.750 0.500
5 In 0.750 0.250 0.500
6 In 0.750 0.750 0.067
7 Ge 0.250 0.250 0.657
8 Ge 0.750 0.750 0.343

***

[3]
Structure and calculated X-ray powder pattern of Tl8SbSe6 (a structure optimized by DFT (PBE); Cu Kα X-rays).

Most intense lines, 2θ = 10–90°, by intensity:
d [Å]	2theta	intensity
2.748	32.59	1000
3.639	24.46	712
3.342	26.68	666
2.855	31.33	601
2.146	42.10	407
2.575	34.84	401
2.428	37.02	295
2.122	42.61	281
2.302	39.13	276
1.765	51.80	254

Crystal structure
Lattice parameters (Å, degrees): 9.209 10.987 9.714 90.00 90.00 90.00
Sites, in units of the cell vectors:
1 Tl 0.000 0.242 0.152
2 Tl 0.000 0.250 0.500
3 Tl 0.191 0.750 0.500
4 Tl 0.240 0.977 0.769
5 Tl 0.246 0.525 0.765
6 Tl 0.254 0.475 0.265
7 Tl 0.260 0.023 0.269
8 Tl 0.309 0.250 0.000
9 Tl 0.500 0.750 0.000
10 Tl 0.500 0.758 0.652
11 Tl 0.691 0.250 0.000
12 Tl 0.740 0.023 0.269
13 Tl 0.746 0.475 0.265
14 Tl 0.754 0.525 0.765
15 Tl 0.760 0.977 0.769
16 Tl 0.809 0.750 0.500
17 Sb 0.000 0.740 0.026
18 Sb 0.500 0.260 0.526
19 Se 0.000 0.020 0.981
20 Se 0.000 0.488 0.990
21 Se 0.000 0.531 0.493
22 Se 0.000 0.967 0.496
23 Se 0.225 0.750 0.190
24 Se 0.275 0.250 0.690
25 Se 0.500 0.033 0.996
26 Se 0.500 0.469 0.993
27 Se 0.500 0.512 0.490
28 Se 0.500 0.980 0.481
29 Se 0.725 0.250 0.690
30 Se 0.775 0.750 0.190

***

[4]
Structure and calculated X-ray powder pattern of CaLa2CoC2 (a structure optimized by DFT (PBE); Cu Kα X-rays).

Most intense lines, 2θ = 10–90°, by intensity:
d [Å]	2theta	intensity
2.825	31.67	1000
2.943	30.37	315
3.090	28.89	261
1.676	54.78	254
5.178	17.12	252
2.686	33.36	240
1.984	45.73	208
1.997	45.42	203
3.304	26.99	195
2.043	44.34	161

Crystal structure
Lattice parameters (Å, degrees): 5.886 10.893 3.992 90.00 90.00 90.00
Sites, in units of the cell vectors:
1 Ca 0.000 0.000 0.000
2 Ca 0.500 0.500 0.500
3 La 0.029 0.302 0.500
4 La 0.471 0.802 0.000
5 La 0.529 0.198 0.000
6 La 0.971 0.698 0.500
7 Co 0.000 0.500 0.000
8 Co 0.500 0.000 0.500
9 C 0.243 0.389 0.000
10 C 0.257 0.889 0.500
11 C 0.743 0.111 0.500
12 C 0.757 0.611 0.000

***

[5]
Structure and calculated X-ray powder pattern of Be2AlGe2 (a structure optimized by DFT (PBE); Cu Kα X-rays).

Most intense lines, 2θ = 10–90°, by intensity:
d [Å]	2theta	intensity
2.766	32.37	1000
3.638	24.47	972
2.522	35.60	935
1.956	46.43	472
1.545	59.85	402
1.844	49.43	400
1.766	51.77	379
1.311	72.06	277
1.723	53.17	233
1.237	77.11	208

Crystal structure
Lattice parameters (Å, degrees): 5.668 5.668 5.668 139.63 139.63 58.41
Sites, in units of the cell vectors:
1 Be 0.250 0.750 0.500
2 Be 0.750 0.250 0.500
3 Al 0.000 0.000 0.000
4 Ge 0.377 0.377 0.000
5 Ge 0.623 0.623 0.000

***

[6]
Structure and calculated X-ray powder pattern of SrMgAlAu3 (a structure optimized by DFT (PBE); Cu Kα X-rays).

Most intense lines, 2θ = 10–90°, by intensity:
d [Å]	2theta	intensity
2.865	31.22	1000
3.113	28.67	973
2.385	37.72	770
3.188	27.99	401
2.853	31.35	401
6.376	13.89	372
1.741	52.56	338
2.230	40.45	299
1.910	47.62	281
4.467	19.87	221

Crystal structure
Lattice parameters (Å, degrees): 7.306 7.306 6.413 90.00 90.00 121.54
Sites, in units of the cell vectors:
1 Sr 0.206 0.794 0.750
2 Sr 0.794 0.206 0.250
3 Mg 0.480 0.520 0.750
4 Mg 0.520 0.480 0.250
5 Al 0.113 0.887 0.250
6 Al 0.887 0.113 0.750
7 Au 0.203 0.203 0.000
8 Au 0.203 0.203 0.500
9 Au 0.306 0.694 0.250
10 Au 0.694 0.306 0.750
11 Au 0.797 0.797 0.000
12 Au 0.797 0.797 0.500

***

[7]
Structure and calculated X-ray powder pattern of TbAgAu3 (a structure optimized by DFT (PBE); Cu Kα X-rays).

Most intense lines, 2θ = 10–90°, by intensity:
d [Å]	2theta	intensity
2.331	38.63	1000
2.279	39.54	868
2.467	36.42	621
2.451	36.66	468
1.739	52.63	333
2.187	41.28	281
4.768	18.61	238
1.397	67.01	199
3.850	23.10	183
1.385	67.63	179

Crystal structure
Lattice parameters (Å, degrees): 9.797 9.797 4.905 102.74 102.74 29.17
Sites, in units of the cell vectors:
1 Tb 0.119 0.119 0.426
2 Tb 0.881 0.881 0.574
3 Ag 0.378 0.378 0.143
4 Ag 0.622 0.622 0.857
5 Au 0.206 0.206 0.008
6 Au 0.291 0.291 0.582
7 Au 0.465 0.465 0.721
8 Au 0.535 0.535 0.279
9 Au 0.709 0.709 0.418
10 Au 0.794 0.794 0.992

***

[8]
Structure and calculated X-ray powder pattern of Li6Cd2AgH (a structure optimized by DFT (PBE); Cu Kα X-rays).

Most intense lines, 2θ = 10–90°, by intensity:
d [Å]	2theta	intensity
3.723	23.90	1000
5.286	16.77	998
5.765	15.37	895
2.911	30.71	610
3.212	27.77	427
2.659	33.70	426
2.489	36.08	416
2.373	37.91	344
2.274	39.64	314
1.959	46.36	300

Crystal structure
Lattice parameters (Å, degrees): 5.358 5.896 6.128 86.50 70.91 64.24
Sites, in units of the cell vectors:
1 Li 0.022 0.102 0.283
2 Li 0.096 0.658 0.091
3 Li 0.455 0.861 0.817
4 Li 0.545 0.139 0.183
5 Li 0.904 0.342 0.909
6 Li 0.978 0.898 0.717
7 Cd 0.484 0.335 0.687
8 Cd 0.516 0.665 0.313
9 Ag 0.000 0.500 0.500
10 H 0.000 0.000 0.000